[1]
The following is a calculated XRD peak list of Tb5SmTm5. It was derived from a cell relaxed with PBE, using Cu Kα.

Top 10 peaks for 2θ from 10° to 80°, by angle:
hkl  2θ (°)  I (rel.)
1 2 2  30.47  9.0
0 2 -1  31.59  36.0
2 0 -1  31.90  58.4
2 2 1  32.34  100.0
2 0 2  32.86  44.6
0 0 3  33.99  52.9
2 -2 0  44.59  12.9
2 2 -2  46.41  10.3
2 2 4  48.83  13.0
4 2 3  58.87  16.9

Cell: 6.809 6.932 8.268 Å, 76.27 76.77 72.53°
Space group P-1 (No. 2)
Inequivalent atoms, fractional coordinates:
1 Tb 0.000 0.000 0.000 [1 per cell]
2 Tb 0.156 0.132 0.358 [2 per cell]
3 Tb 0.320 0.269 0.656 [2 per cell]
4 Sm 0.000 0.500 0.000 [1 per cell]
5 Tm 0.214 0.639 0.314 [2 per cell]
6 Tm 0.354 0.753 0.715 [2 per cell]
7 Tm 0.500 0.000 0.000 [1 per cell]

[2]
The following is a calculated XRD peak list of TbSm4Tm. It was derived from a cell relaxed with PBE, using Cu Kα.

Top 10 peaks for 2θ from 10° to 80°, by angle:
hkl  2θ (°)  I (rel.)
1 0 2  30.48  100.0
-1 1 1  35.23  17.0
1 2 2  35.39  33.6
0 3 3  50.77  18.1
2 1 1  50.89  18.0
-1 3 1  60.26  7.2
2 0 -2  60.34  7.2
2 2 4  60.49  25.0
0 4 0  63.38  6.2
2 0 4  63.48  6.2

Cell: 3.590 6.218 9.504 Å, 77.31 79.22 73.47°
Space group P-1 (No. 2)
Inequivalent atoms, fractional coordinates:
1 Tb 0.000 0.000 0.000 [1 per cell]
2 Sm 0.334 0.500 0.832 [2 per cell]
3 Sm 0.334 0.998 0.334 [2 per cell]
4 Tm 0.000 0.500 0.500 [1 per cell]

[3]
The following is a calculated XRD peak list of Tb2SmTm8. It was derived from a cell relaxed with PBE, using Cu Kα.

Top 10 peaks for 2θ from 10° to 80°, by angle:
hkl  2θ (°)  I (rel.)
5 1 -1  30.86  63.3
1 1 2  31.97  100.0
5 1 -2  32.87  29.0
0 2 0  33.25  77.5
5 1 0  33.55  12.9
6 0 0  35.02  14.3
4 2 -3  47.75  22.0
1 3 2  58.58  18.0
3 1 -5  59.34  11.8
10 2 -3  65.27  11.6

Cell: 17.188 5.393 8.261 Å, 90.00 116.56 90.00°
Space group C2/m (No. 12)
Inequivalent atoms, fractional coordinates:
1 Tb 0.201 0.000 0.159 [4 per cell]
2 Sm 0.000 0.500 0.500 [2 per cell]
3 Tm 0.018 0.000 0.223 [4 per cell]
4 Tm 0.118 0.500 0.943 [4 per cell]
5 Tm 0.159 0.000 0.697 [4 per cell]
6 Tm 0.166 0.500 0.393 [4 per cell]

[4]
The following is a calculated XRD peak list of Tb12Sm3Tm. It was derived from a cell relaxed with PBE, using Cu Kα.

Top 6 peaks for 2θ from 10° to 80°, by angle:
hkl  2θ (°)  I (rel.)
1 1 4  30.69  100.0
2 0 0  35.59  50.6
2 2 0  51.21  36.1
3 1 4  60.90  42.8
2 2 8  63.92  12.3
4 0 0  75.35  5.7

Cell: 5.046 5.046 20.175 Å, 90.00 90.00 90.00°
Space group P4/mmm (No. 123)
Inequivalent atoms, fractional coordinates:
1 Tb 0.000 0.000 0.000 [1 per cell]
2 Tb 0.000 0.000 0.249 [2 per cell]
3 Tb 0.000 0.000 0.500 [1 per cell]
4 Tb 0.000 0.500 0.123 [4 per cell]
5 Tb 0.000 0.500 0.374 [4 per cell]
6 Sm 0.500 0.500 0.249 [2 per cell]
7 Sm 0.500 0.500 0.500 [1 per cell]
8 Tm 0.500 0.500 0.000 [1 per cell]

[5]
The following is a calculated XRD peak list of TbSm3Tm7. It was derived from a cell relaxed with PBE, using Cu Kα.

Top 10 peaks for 2θ from 10° to 80°, by angle:
hkl  2θ (°)  I (rel.)
1 1 2  31.70  35.4
1 1 -3  31.91  41.1
2 1 0  32.08  100.0
2 1 -2  32.24  68.1
2 0 -3  32.44  23.0
0 2 0  32.79  75.6
0 1 3  33.14  77.1
2 2 -3  46.79  21.5
0 3 3  58.74  21.6
4 2 -2  63.81  30.6

Cell: 6.898 5.463 9.916 Å, 90.00 109.76 90.00°
Space group P2/m (No. 10)
Inequivalent atoms, fractional coordinates:
1 Tb 0.000 0.000 0.000 [1 per cell]
2 Sm 0.219 0.500 0.503 [2 per cell]
3 Sm 0.500 0.000 0.000 [1 per cell]
4 Tm 0.078 0.000 0.670 [2 per cell]
5 Tm 0.180 0.500 0.861 [2 per cell]
6 Tm 0.352 0.500 0.211 [2 per cell]
7 Tm 0.500 0.000 0.500 [1 per cell]

[6]
The following is a calculated XRD peak list of Tb11Sm9Tm4. It was derived from a cell relaxed with PBE, using Cu Kα.

Top 10 peaks for 2θ from 10° to 80°, by angle:
hkl  2θ (°)  I (rel.)
4 6 0  29.93  100.0
2 4 1  30.05  29.7
3 3 1  30.99  30.8
1 9 0  31.98  35.3
0 6 1  32.22  87.0
4 0 1  32.43  87.5
6 4 0  35.08  14.9
0 0 2  49.70  23.2
9 5 1  58.42  15.8
4 6 2  59.11  29.3

Cell: 16.761 25.529 3.669 Å, 90.00 90.00 90.00°
Space group Cmmm (No. 65)
Inequivalent atoms, fractional coordinates:
1 Tb 0.000 0.000 0.000 [2 per cell]
2 Tb 0.000 0.162 0.000 [4 per cell]
3 Tb 0.000 0.369 0.000 [4 per cell]
4 Tb 0.209 0.500 0.000 [4 per cell]
5 Tb 0.225 0.181 0.000 [8 per cell]
6 Sm 0.000 0.500 0.500 [2 per cell]
7 Sm 0.103 0.268 0.500 [8 per cell]
8 Sm 0.140 0.074 0.500 [8 per cell]
9 Tm 0.157 0.399 0.500 [8 per cell]

[7]
The following is a calculated XRD peak list of Tb2SmTm7. It was derived from a cell relaxed with PBE, using Cu Kα.

Top 10 peaks for 2θ from 10° to 80°, by angle:
hkl  2θ (°)  I (rel.)
1 0 1  17.99  11.6
1 2 1  24.24  14.5
0 4 0  32.54  27.0
2 0 0  32.71  26.7
1 2 3  33.08  100.0
2 4 0  46.81  19.8
1 6 3  58.40  19.8
3 2 3  58.62  19.6
2 0 6  59.44  9.4
2 4 6  69.42  11.8

Cell: 5.475 11.007 11.340 Å, 90.00 90.00 90.00°
Space group Immm (No. 71)
Inequivalent atoms, fractional coordinates:
1 Tb 0.000 0.000 0.161 [4 per cell]
2 Sm 0.000 0.500 0.500 [2 per cell]
3 Tm 0.000 0.000 0.500 [2 per cell]
4 Tm 0.000 0.247 0.349 [8 per cell]
5 Tm 0.000 0.500 0.164 [4 per cell]

[8]
The following is a calculated XRD peak list of TbSm3Tm3. It was derived from a cell relaxed with PBE, using Cu Kα.

Top 10 peaks for 2θ from 10° to 80°, by angle:
hkl  2θ (°)  I (rel.)
1 2 0  28.51  23.7
0 0 2  31.45  24.5
1 2 1  32.65  100.0
1 2 2  42.96  15.7
4 1 0  50.49  19.6
1 2 3  56.76  20.8
4 1 2  60.71  22.6
2 4 1  61.43  16.3
2 4 2  68.41  4.0
2 4 3  79.38  7.9

Cell: 9.5644 9.5644 5.6885 Å, 90.00 90.00 120.00°
Space group P6_3/m (No. 176)
Inequivalent atoms, fractional coordinates:
1 Tb 0.3333 0.6667 0.2500 [2 per cell]
2 Sm 0.0490 0.8070 0.2500 [6 per cell]
3 Tm 0.0949 0.6168 0.7500 [6 per cell]